Structure and simulated powder XRD pattern of YTlHgTe3 (a DFT-relaxed cell (PBE, OQMD); Cu Ka).

Structural model:
Cell lengths 15.2124, 4.4611, 11.8835 Å; angles 90.00, 90.00, 90.00 degrees
Space group Pnma (No. 62)
Inequivalent atoms, fractional coordinates:
Y 0.0259 0.2500 0.1560 x4
Tl 0.2351 0.2500 0.4488 x4
Hg 0.0208 0.7500 0.3930 x4
Te 0.1002 0.7500 0.6256 x4
Te 0.1015 0.2500 0.9201 x4
Te 0.1580 0.7500 0.2310 x4

Principal peaks in the range 2θ = 5–70°, sorted by position:
- 9.4°, intensity 21, hkl 1 0 1
- 25.4°, intensity 14, hkl 2 0 3
- 27.7°, intensity 100, hkl 3 1 1
- 30.6°, intensity 68, hkl 3 1 2
- 32.4°, intensity 61, hkl 2 0 4
- 38.9°, intensity 25, hkl 5 1 2
- 40.4°, intensity 29, hkl 0 2 0
- 42.6°, intensity 12, hkl 5 1 3
- 49.6°, intensity 11, hkl 4 1 5
- 52.7°, intensity 11, hkl 2 2 4



Structure and simulated powder XRD pattern of ThTl2Hg (a DFT-relaxed cell (PBE, OQMD); Cu Ka).

Structural model:
Cell lengths 4.7924, 4.7924, 4.7723 Å; angles 90.00, 90.00, 90.00 degrees
Space group P4/mmm (No. 123)
Inequivalent atoms, fractional coordinates:
Th 0.0000 0.0000 0.0000 x1
Tl 0.0000 0.5000 0.5000 x2
Hg 0.5000 0.5000 0.0000 x1

Principal peaks in the range 2θ = 5–70°, sorted by position:
- 32.4°, intensity 100, hkl 1 1 1
- 37.5°, intensity 34, hkl 2 0 0
- 37.7°, intensity 17, hkl 0 0 2
- 54.1°, intensity 12, hkl 2 2 0
- 54.3°, intensity 24, hkl 2 0 2
- 64.5°, intensity 29, hkl 3 1 1
- 64.7°, intensity 14, hkl 1 1 3
- 67.8°, intensity 12, hkl 2 2 2



Structure and simulated powder XRD pattern of Tl2Hg5 (a DFT-relaxed cell (PBE, OQMD); Cu Ka).

Structural model:
Cell lengths 5.3304, 5.3304, 22.8352 Å; angles 90.00, 90.00, 120.00 degrees
Space group R-3m (No. 166, hexagonal axes)
Inequivalent atoms, fractional coordinates:
Tl 0.0000 0.0000 0.0736 x6
Hg 0.0000 0.0000 0.2143 x6
Hg 0.0000 0.0000 0.3545 x6
Hg 0.0000 0.0000 0.5000 x3

Principal peaks in the range 2θ = 5–70°, sorted by position:
- 33.6°, intensity 100, hkl 1 1 0
- 48.3°, intensity 18, hkl 0 2 7
- 60.1°, intensity 38, hkl 3 0 0



Structure and simulated powder XRD pattern of Zr3Tl2Hg2 (a DFT-relaxed cell (PBE, OQMD); Cu Ka).

Structural model:
Cell lengths 4.9325, 4.9325, 24.3704 Å; angles 90.00, 90.00, 120.00 degrees
Space group R3m (No. 160, hexagonal axes)
Inequivalent atoms, fractional coordinates:
Zr 0.0000 0.0000 0.0000 x3
Zr 0.0000 0.0000 0.2512 x3
Zr 0.0000 0.0000 0.5050 x3
Tl 0.0000 0.0000 0.1214 x3
Tl 0.0000 0.0000 0.6342 x3
Hg 0.0000 0.0000 0.3836 x3
Hg 0.0000 0.0000 0.8696 x3

Principal peaks in the range 2θ = 5–70°, sorted by position:
- 25.5°, intensity 54, hkl 1 0 4
- 33.2°, intensity 9, hkl 1 0 7
- 36.2°, intensity 93, hkl 0 1 8
- 36.4°, intensity 100, hkl 1 1 0
- 45.0°, intensity 13, hkl 0 2 4
- 52.3°, intensity 33, hkl 2 0 8
- 59.2°, intensity 12, hkl 2 1 4
- 65.0°, intensity 13, hkl 1 0 16
- 65.4°, intensity 33, hkl 1 2 8
- 65.6°, intensity 18, hkl 3 0 0